(1)
The following is a theoretical X-ray diffraction stick pattern of CeTaO6. It was derived from a cell relaxed with PBE, using Cu Kα (weighted mean of Kα1 and Kα2).

Structure:
```
CeTaO6
1.0
0.000 4.223 4.223
4.223 0.000 4.223
4.223 4.223 0.000
Ce Ta O
1 1 6
direct
0.000 0.000 0.000
0.500 0.500 0.500
0.266 0.266 0.734
0.266 0.734 0.266
0.266 0.734 0.734
0.734 0.266 0.266
0.734 0.266 0.734
0.734 0.734 0.266
```

Most intense lines, 2θ from 15° to 90°, in order of rising 2θ:
Position (°2θ)  Rel. int.
21.04  1000
29.93  534
36.87  124
42.83  209
48.19  427
53.13  223
62.18  128
66.42  199

(2)
The following is a theoretical X-ray diffraction stick pattern of UH2O4. It was derived from a cell relaxed with PBE, using Cu Kα (weighted mean of Kα1 and Kα2).

Structure:
```
UH2O4
1.0
5.610 0.000 0.000
0.000 5.509 0.000
-2.334 0.000 5.520
U H O
2 4 8
direct
0.000 0.000 0.000
0.000 0.500 0.500
0.474 0.162 0.850
0.474 0.338 0.350
0.526 0.662 0.650
0.526 0.838 0.150
0.130 0.204 0.801
0.130 0.296 0.301
0.354 0.661 0.661
0.354 0.839 0.161
0.646 0.161 0.839
0.646 0.339 0.339
0.870 0.704 0.699
0.870 0.796 0.199
```

Most intense lines, 2θ from 15° to 90°, in order of rising 2θ:
Position (°2θ)  Rel. int.
17.16  837
22.81  1000
24.53  743
30.19  223
32.37  462
36.03  223
36.98  243
50.30  193